Diffraction record for BeH2SeO4. The powder XRD pattern is calculated, not measured: it uses a crystal structure in the Materials Project, relaxed with GGA-PBE and a wavelength of 1.5418 Å.

Principal peaks in the range 2θ from 15° to 90°, low angle first:
2θ 16.10, I 50.8
2θ 19.40, I 100.0
2θ 25.26, I 24.4
2θ 27.32, I 67.5
2θ 29.77, I 33.6
2θ 30.33, I 90.0
2θ 31.29, I 35.9
2θ 35.38, I 19.3
2θ 36.22, I 17.9
2θ 55.09, I 15.1

Atomic structure:
a b c (Å): 5.7181 7.6283 7.9524
angles (deg): 90.00 90.00 90.00
Sites, in units of the cell vectors:
1 Be 0.1111 0.2321 0.2337
2 Be 0.3889 0.7679 0.7337
3 Be 0.6111 0.2679 0.7663
4 Be 0.8889 0.7321 0.2663
5 H 0.1458 0.5954 0.5562
6 H 0.2176 0.5308 0.1841
7 H 0.2824 0.4692 0.6841
8 H 0.3542 0.4046 0.0562
9 H 0.6458 0.9046 0.4438
10 H 0.7176 0.9692 0.8159
11 H 0.7824 0.0308 0.3159
12 H 0.8542 0.0954 0.9438
13 Se 0.2128 0.0875 0.5774
14 Se 0.2872 0.9125 0.0774
15 Se 0.7128 0.4125 0.4226
16 Se 0.7872 0.5875 0.9226
17 O 0.0828 0.0815 0.0872
18 O 0.1592 0.7575 0.2077
19 O 0.2109 0.8319 0.8823
20 O 0.2236 0.4088 0.1403
21 O 0.2764 0.5912 0.6403
22 O 0.2891 0.1681 0.3823
23 O 0.3408 0.2425 0.7077
24 O 0.4172 0.9185 0.5872
25 O 0.5828 0.4185 0.9128
26 O 0.6592 0.7425 0.7923
27 O 0.7109 0.6681 0.1177
28 O 0.7236 0.0912 0.8597
29 O 0.7764 0.9088 0.3597
30 O 0.7891 0.3319 0.6177
31 O 0.8408 0.2575 0.2923
32 O 0.9172 0.5815 0.4128

---

Diffraction record for RbBeH3. The powder XRD pattern is calculated, not measured: it uses a crystal structure in the Materials Project, relaxed with GGA-PBE and a wavelength of 1.5418 Å.

Principal peaks in the range 2θ from 15° to 90°, low angle first:
2θ 19.63, I 100.0
2θ 25.24, I 83.9
2θ 27.39, I 13.9
2θ 30.35, I 45.7
2θ 36.41, I 20.8
2θ 39.87, I 20.2
2θ 40.97, I 20.6
2θ 41.33, I 28.9
2θ 48.10, I 16.7
2θ 50.92, I 17.5

Atomic structure:
a b c (Å): 7.3532 5.8933 9.4029
angles (deg): 90.00 106.18 90.00
Sites, in units of the cell vectors:
1 Rb 0.2401 0.2462 0.2231
2 Rb 0.2401 0.2538 0.7231
3 Rb 0.7599 0.7462 0.2769
4 Rb 0.7599 0.7538 0.7769
5 Be 0.2579 0.7475 0.4959
6 Be 0.2579 0.7525 0.9959
7 Be 0.7421 0.2475 0.0041
8 Be 0.7421 0.2525 0.5041
9 H 0.1437 0.6012 0.3908
10 H 0.1437 0.8988 0.8908
11 H 0.2399 0.5181 0.9761
12 H 0.2399 0.9819 0.4761
13 H 0.3814 0.6569 0.6248
14 H 0.3814 0.8431 0.1248
15 H 0.6186 0.1569 0.8752
16 H 0.6186 0.3431 0.3752
17 H 0.7601 0.0181 0.5239
18 H 0.7601 0.4819 0.0239
19 H 0.8563 0.1012 0.1092
20 H 0.8563 0.3988 0.6092

---

Diffraction record for HfBe5. The powder XRD pattern is calculated, not measured: it uses a crystal structure in the Materials Project, relaxed with GGA-PBE and a wavelength of 1.5418 Å.

Principal peaks in the range 2θ from 15° to 90°, low angle first:
2θ 22.69, I 100.0
2θ 25.92, I 26.4
2θ 34.71, I 81.0
2θ 39.84, I 29.8
2θ 46.33, I 20.6
2θ 48.14, I 39.2
2θ 53.85, I 17.8
2θ 58.65, I 15.9
2θ 62.72, I 13.0
2θ 69.04, I 22.4

Atomic structure:
a b c (Å): 4.5259 4.5259 3.4372
angles (deg): 90.00 90.00 120.00
Sites, in units of the cell vectors:
1 Hf 0.0000 0.0000 0.0000
2 Be 0.0000 0.5000 0.5000
3 Be 0.3333 0.6667 0.0000
4 Be 0.5000 0.0000 0.5000
5 Be 0.5000 0.5000 0.5000
6 Be 0.6667 0.3333 0.0000

---

Diffraction record for HfBe. The powder XRD pattern is calculated, not measured: it uses a crystal structure in the Materials Project, relaxed with GGA-PBE and a wavelength of 1.5418 Å.

Principal peaks in the range 2θ from 15° to 90°, low angle first:
2θ 28.17, I 41.3
2θ 29.80, I 100.0
2θ 35.80, I 23.7
2θ 37.20, I 87.6
2θ 38.09, I 56.5
2θ 48.71, I 16.2
2θ 54.98, I 17.9
2θ 59.13, I 32.2
2θ 63.45, I 25.7
2θ 63.82, I 23.5

Atomic structure:
a b c (Å): 5.2864 5.2864 3.7388
angles (deg): 90.00 90.00 143.19
Sites, in units of the cell vectors:
1 Hf 0.1498 0.8502 0.7500
2 Hf 0.8502 0.1498 0.2500
3 Be 0.4383 0.5617 0.7500
4 Be 0.5617 0.4383 0.2500